The following is a simulated powder XRD pattern of LiMnSiO4. It was derived from a cell relaxed with PBE+U, using Cu Ka.

Principal peaks in the range 2θ = 15–90°, by angle:
- hkl 0 1 2, d 3.965, 22.4 deg, intensity 89
- hkl 1 0 2, d 3.715, 24.0 deg, intensity 73
- hkl 1 -1 2, d 2.803, 31.9 deg, intensity 32
- hkl 1 0 3, d 2.787, 32.1 deg, intensity 66
- hkl 2 1 1, d 2.760, 32.4 deg, intensity 48
- hkl 2 0 0, d 2.747, 32.6 deg, intensity 100
- hkl 0 2 2, d 2.719, 32.9 deg, intensity 53
- hkl 1 2 -1, d 2.568, 34.9 deg, intensity 56
- hkl 1 0 -3, d 2.522, 35.6 deg, intensity 43
- hkl 1 2 5, d 1.729, 53.0 deg, intensity 26

Crystal structure
abc: 5.693 6.210 9.331
angles: 77.69 80.66 76.35
Space group P-1 (No. 2)
Symmetry-distinct sites (fractional):
Li 0.198 0.355 0.431 (multiplicity 2)
Li 0.280 0.556 0.728 (multiplicity 2)
Mn 0.196 0.065 0.720 (multiplicity 2)
Mn 0.282 0.160 0.088 (multiplicity 2)
Si 0.178 0.709 0.038 (multiplicity 2)
Si 0.313 0.840 0.410 (multiplicity 2)
O 0.110 0.704 0.388 (multiplicity 2)
O 0.113 0.227 0.887 (multiplicity 2)
O 0.138 0.779 0.861 (multiplicity 2)
O 0.272 0.866 0.584 (multiplicity 2)
O 0.290 0.451 0.098 (multiplicity 2)
O 0.293 0.091 0.302 (multiplicity 2)
O 0.365 0.851 0.072 (multiplicity 2)
O 0.396 0.294 0.618 (multiplicity 2)